This entry pairs a crystal structure of K3H5N2 with its computed XRD peak list. Radiation: copper Kα. Structure: a DFT-relaxed cell (PBE, Alexandria).

Most intense lines, 2θ = 5–70°, in order of rising 2θ:
Position (°2θ), d_spacing, intensity, hkl
22.42, 3.966, 54, 1 3 0
23.87, 3.728, 100, 1 2 1
31.16, 2.870, 91, 2 1 1
37.02, 2.428, 42, 0 6 0
40.66, 2.219, 59, 0 4 2
43.83, 2.065, 45, 2 5 1

Structural model:
```
data_K3H5N2
_chemical_formula_sum 'K12 H20 N8'
_cell_length_a 6.870
_cell_length_b 14.571
_cell_length_c 5.597
_cell_angle_alpha 90.00
_cell_angle_beta 90.00
_cell_angle_gamma 90.00
_symmetry_space_group_name_H-M 'I b a m'
_symmetry_Int_Tables_number 72
_symmetry_space_group_name_Hall '-I 2 2c'
loop_
_atom_site_label
_atom_site_fract_x
_atom_site_fract_y
_atom_site_fract_z
K1 0.000 0.000 0.250
K2 0.142 0.355 0.000
H1 0.000 0.176 0.250
H2 0.000 0.500 0.250
H3 0.181 0.165 0.000
N1 0.030 0.168 0.000
```

This entry pairs a crystal structure of K3H8N2 with its computed XRD peak list. Radiation: copper Kα. Structure: a DFT-relaxed cell (PBE, Alexandria).

Most intense lines, 2θ = 5–70°, in order of rising 2θ:
Position (°2θ), d_spacing, intensity, hkl
23.96, 3.714, 100, 0 1 5
24.25, 3.670, 99, 1 1 0
34.35, 2.611, 35, 2 0 5
41.96, 2.153, 16, 1 0 10
42.49, 2.127, 33, 1 2 5
42.67, 2.119, 16, 3 0 0

Structural model:
```
data_K3H8N2
_chemical_formula_sum 'K9 H24 N6'
_cell_length_a 7.3406
_cell_length_b 7.3406
_cell_length_c 22.8837
_cell_angle_alpha 90.00
_cell_angle_beta 90.00
_cell_angle_gamma 120.00
_symmetry_space_group_name_H-M 'R -3 m'
_symmetry_Int_Tables_number 166
_symmetry_space_group_name_Hall '-R 3 2"'
loop_
_atom_site_label
_atom_site_fract_x
_atom_site_fract_y
_atom_site_fract_z
K1 0.0000 0.0000 0.0000
K2 0.0000 0.0000 0.2026
H1 0.0000 0.0000 0.3623
H2 0.0779 0.1558 0.5768
N1 0.0000 0.0000 0.4080
```

This entry pairs a crystal structure of KH6N with its computed XRD peak list. Radiation: copper Kα. Structure: a DFT-relaxed cell (PBE, Alexandria).

Most intense lines, 2θ = 5–70°, in order of rising 2θ:
Position (°2θ), d_spacing, intensity, hkl
21.67, 4.101, 21, 1 0 1
30.84, 2.900, 100, 1 1 0
38.01, 2.367, 14, 0 2 1
44.17, 2.050, 20, 2 0 2
49.72, 1.834, 12, 2 1 1
54.82, 1.675, 21, 3 0 0

Structural model:
```
data_KH6N
_chemical_formula_sum 'K3 H18 N3'
_cell_length_a 5.8030
_cell_length_b 5.8030
_cell_length_c 7.0927
_cell_angle_alpha 90.00
_cell_angle_beta 90.00
_cell_angle_gamma 120.00
_symmetry_space_group_name_H-M 'R -3 m'
_symmetry_Int_Tables_number 166
_symmetry_space_group_name_Hall '-R 3 2"'
loop_
_atom_site_label
_atom_site_fract_x
_atom_site_fract_y
_atom_site_fract_z
K1 0.0000 0.0000 0.0000
H1 0.0762 0.5381 0.0381
N1 0.0000 0.0000 0.5000
```

This entry pairs a crystal structure of K2H6N3 with its computed XRD peak list. Radiation: copper Kα. Structure: a DFT-relaxed cell (PBE, Alexandria).

Most intense lines, 2θ = 5–70°, in order of rising 2θ:
Position (°2θ), d_spacing, intensity, hkl
12.73, 6.956, 80, 1 1 0
15.08, 5.875, 48, 2 0 0
24.62, 3.615, 64, 3 1 -1
30.80, 2.903, 49, 2 0 -2
32.03, 2.795, 100, 1 3 0
32.89, 2.723, 54, 1 1 -2

Structural model:
```
data_K2H6N3
_chemical_formula_sum 'K8 H24 N12'
_cell_length_a 12.741
_cell_length_b 8.631
_cell_length_c 5.824
_cell_angle_alpha 90.00
_cell_angle_beta 112.75
_cell_angle_gamma 90.00
_symmetry_space_group_name_H-M 'C 1 2/c 1'
_symmetry_Int_Tables_number 15
loop_
_symmetry_equiv_pos_as_xyz
'x,y,z'
'-x,-y,-z'
'-x,y,-z+1/2'
'x,-y,z+1/2'
'x+1/2,y+1/2,z'
'-x+1/2,-y+1/2,-z'
'-x+1/2,y+1/2,-z+1/2'
'x+1/2,-y+1/2,z+1/2'
loop_
_atom_site_label
_atom_site_fract_x
_atom_site_fract_y
_atom_site_fract_z
K1 0.097 0.169 0.063
H1 0.066 0.480 0.338
H2 0.144 0.268 0.631
H3 0.223 0.125 0.615
N1 0.000 0.445 0.750
N2 0.143 0.149 0.608
```

This entry pairs a crystal structure of K2NaH6N3 with its computed XRD peak list. Radiation: copper Kα. Structure: a DFT-relaxed cell (PBE, Alexandria).

Most intense lines, 2θ = 5–70°, in order of rising 2θ:
Position (°2θ), d_spacing, intensity, hkl
14.30, 6.193, 44, 1 0 1
31.51, 2.839, 92, 2 1 2
33.58, 2.669, 100, 1 1 4
35.41, 2.535, 54, 2 1 3
35.71, 2.514, 69, 2 2 0
40.67, 2.219, 47, 3 0 2

Structural model:
```
data_K2NaH6N3
_chemical_formula_sum 'K8 Na4 H24 N12'
_cell_length_a 7.112
_cell_length_b 7.112
_cell_length_c 12.597
_cell_angle_alpha 90.00
_cell_angle_beta 90.00
_cell_angle_gamma 90.00
_symmetry_space_group_name_H-M 'P 42/m'
_symmetry_Int_Tables_number 84
loop_
_symmetry_equiv_pos_as_xyz
'x,y,z'
'-x,-y,-z'
'-y,x,z+1/2'
'y,-x,-z+1/2'
'-x,-y,z'
'x,y,-z'
'y,-x,z+1/2'
'-y,x,-z+1/2'
loop_
_atom_site_label
_atom_site_fract_x
_atom_site_fract_y
_atom_site_fract_z
K1 0.000 0.000 0.000
K2 0.000 0.500 0.150
K3 0.500 0.500 0.250
Na1 0.332 0.635 0.500
H1 0.065 0.666 0.352
H2 0.155 0.833 0.283
H3 0.252 0.292 0.436
N1 0.192 0.729 0.337
N2 0.273 0.660 0.000
```

This entry pairs a crystal structure of KPH3NO3 with its computed XRD peak list. Radiation: copper Kα. Structure: a DFT-relaxed cell (PBE, Alexandria).

Most intense lines, 2θ = 5–70°, in order of rising 2θ:
Position (°2θ), d_spacing, intensity, hkl
15.29, 5.795, 83, 0 1 1
21.33, 4.166, 61, 0 1 2
25.70, 3.467, 75, 1 1 1
25.90, 3.440, 69, 1 1 -3
28.92, 3.087, 66, 2 0 -2
30.65, 2.917, 100, 1 2 0

Structural model:
```
data_KPH3NO3
_chemical_formula_sum 'K4 P4 H12 N4 O12'
_cell_length_a 6.175
_cell_length_b 6.984
_cell_length_c 12.023
_cell_angle_alpha 90.00
_cell_angle_beta 120.30
_cell_angle_gamma 90.00
_symmetry_space_group_name_H-M 'P 1 21/c 1'
_symmetry_Int_Tables_number 14
loop_
_symmetry_equiv_pos_as_xyz
'x,y,z'
'-x,-y,-z'
'-x,y+1/2,-z+1/2'
'x,-y+1/2,z+1/2'
loop_
_atom_site_label
_atom_site_fract_x
_atom_site_fract_y
_atom_site_fract_z
K1 0.041 0.010 0.292
P1 0.340 0.662 0.589
H1 0.159 0.146 0.074
H2 0.359 0.147 0.014
H3 0.477 0.159 0.176
N1 0.335 0.097 0.090
O1 0.134 0.708 0.452
O2 0.281 0.719 0.693
O3 0.394 0.207 0.881
```